Computed X-ray powder pattern
Compound: Ba2EuNbO6
Radiation: CuKα
Structure: the PBE geometry in the Materials Project

Principal peaks in the range 10 to 80 degrees two-theta, by angle:
| 2θ/deg | intensity |
| --- | --- |
| 17.79 | 2 |
| 29.24 | 100 |
| 34.44 | 2 |
| 36.02 | 2 |
| 41.83 | 30 |
| 45.79 | 1 |
| 51.86 | 40 |
| 60.65 | 19 |
| 68.73 | 18 |
| 76.39 | 6 |

Cell and atoms:
a = 8.637 Å, b = 8.637 Å, c = 8.637 Å
α = 90.00°, β = 90.00°, γ = 90.00°
Space group Fm-3m (No. 225)
One atom of each set of equivalent atoms:
Ba 0.250 0.250 0.250 (multiplicity 8)
Eu 0.000 0.000 0.000 (multiplicity 4)
Nb 0.000 0.000 0.500 (multiplicity 4)
O 0.000 0.000 0.266 (multiplicity 24)